Diffraction record for Sc3Nb. The X-ray powder pattern is theoretical, not measured: it uses a DFT-relaxed cell (GGA-PBE, the Materials Project) and a wavelength of 1.5418 Å.
Kinematic intensities with the Lorentz-polarization factor, no thermal factor.

Top 10 peaks for 10° ≤ 2θ ≤ 80°, by angle:
2θ/deg	I_rel	index
19.93	49	0 0 2
22.29	152	1 0 1
28.30	42	1 1 0
34.86	1000	1 1 2
36.34	44	1 0 3
40.47	484	2 0 0
46.68	44	2 1 1
58.57	303	2 2 0
70.00	342	3 1 2
73.61	98	2 2 4

```
data_Sc3Nb
_space_group_name_H-M_alt 'I 4/m m m'
_space_group_IT_number 139
_space_group_name_Hall '-I 4 2'
_cell_length_a 4.4591
_cell_length_b 4.4591
_cell_length_c 8.9101
_cell_angle_alpha 90.00
_cell_angle_beta 90.00
_cell_angle_gamma 90.00
loop_
_atom_site_label
_atom_site_type_symbol
_atom_site_fract_x
_atom_site_fract_y
_atom_site_fract_z
_atom_site_occupancy
Sc1 Sc 0.0000 0.0000 0.0000 1
Sc2 Sc 0.0000 0.5000 0.2500 1
Nb1 Nb 0.0000 0.0000 0.5000 1
```

Diffraction record for RbBrO4. The X-ray powder pattern is theoretical, not measured: it uses a DFT-relaxed cell (GGA-PBE, the Materials Project) and a wavelength of 1.5418 Å.
Kinematic intensities with the Lorentz-polarization factor, no thermal factor.

Top 10 peaks for 10° ≤ 2θ ≤ 80°, by angle:
2θ/deg	I_rel	index
25.18	1000	1 1 2
25.68	194	0 0 4
30.75	233	2 0 0
40.48	256	2 0 4
44.97	167	1 1 6
51.41	229	1 3 2
51.68	127	2 2 4
62.33	77	2 0 8
64.77	141	3 1 6
78.57	69	4 2 4

```
data_RbBrO4
_space_group_name_H-M_alt 'I 41/a'
_space_group_IT_number 88
_cell_length_a 5.8150
_cell_length_b 5.8150
_cell_length_c 13.8773
_cell_angle_alpha 90.00
_cell_angle_beta 90.00
_cell_angle_gamma 90.00
loop_
_space_group_symop_operation_xyz
'x,y,z'
'-x,-y,-z'
'-y+3/4,x+1/4,z+1/4'
'y+3/4,-x+1/4,-z+1/4'
'-x+1/2,-y,z+1/2'
'x+1/2,y,-z+1/2'
'y+3/4,-x+3/4,z+3/4'
'-y+3/4,x+3/4,-z+3/4'
'x+1/2,y+1/2,z+1/2'
'-x+1/2,-y+1/2,-z+1/2'
'-y+1/4,x+3/4,z+3/4'
'y+1/4,-x+3/4,-z+3/4'
'-x,-y+1/2,z'
'x,y+1/2,-z'
'y+1/4,-x+1/4,z+1/4'
'-y+1/4,x+1/4,-z+1/4'
loop_
_atom_site_label
_atom_site_type_symbol
_atom_site_fract_x
_atom_site_fract_y
_atom_site_fract_z
_atom_site_occupancy
Rb1 Rb 0.0000 0.2500 0.1250 1
Br1 Br 0.0000 0.2500 0.6250 1
O1 O 0.0769 0.4703 0.6927 1
```

Diffraction record for Zn2Ge3O8. The X-ray powder pattern is theoretical, not measured: it uses a DFT-relaxed cell (GGA-PBE, the Materials Project) and a wavelength of 1.5418 Å.
Kinematic intensities with the Lorentz-polarization factor, no thermal factor.

Top 10 peaks for 10° ≤ 2θ ≤ 80°, by angle:
2θ/deg	I_rel	index
15.01	161	1 1 0
23.84	238	2 1 0
26.15	123	2 1 1
30.29	362	2 2 0
35.68	1000	3 1 1
43.37	121	4 0 0
53.81	136	4 2 2
57.37	374	5 1 1
63.00	417	4 4 0
74.56	107	5 3 3

```
data_Zn2Ge3O8
_space_group_name_H-M_alt 'P 43 3 2'
_space_group_IT_number 212
_space_group_name_Hall 'P 4acd 2ab 3'
_cell_length_a 8.3460
_cell_length_b 8.3460
_cell_length_c 8.3460
_cell_angle_alpha 90.00
_cell_angle_beta 90.00
_cell_angle_gamma 90.00
loop_
_atom_site_label
_atom_site_type_symbol
_atom_site_fract_x
_atom_site_fract_y
_atom_site_fract_z
_atom_site_occupancy
Zn1 Zn 0.0017 0.0017 0.0017 1
Ge1 Ge 0.1207 0.6250 0.1293 1
O1 O 0.0985 0.1396 0.3956 1
O2 O 0.1117 0.6117 0.8883 1
```

Diffraction record for TbMg2. The X-ray powder pattern is theoretical, not measured: it uses a DFT-relaxed cell (GGA-PBE, the Materials Project) and a wavelength of 1.5418 Å.
Kinematic intensities with the Lorentz-polarization factor, no thermal factor.

Top 10 peaks for 10° ≤ 2θ ≤ 80°, by angle:
2θ/deg	I_rel	index
16.86	442	1 0 0
18.10	233	0 0 2
19.15	318	1 0 1
24.83	214	1 0 2
29.42	806	1 1 0
32.25	1000	1 0 3
34.75	755	1 1 2
35.34	305	2 0 1
53.99	451	2 1 3
58.74	222	2 0 5

```
data_TbMg2
_space_group_name_H-M_alt 'P 63/m m c'
_space_group_IT_number 194
_space_group_name_Hall '-P 6c 2c'
_cell_length_a 6.0730
_cell_length_b 6.0730
_cell_length_c 9.8042
_cell_angle_alpha 90.00
_cell_angle_beta 90.00
_cell_angle_gamma 120.00
loop_
_atom_site_label
_atom_site_type_symbol
_atom_site_fract_x
_atom_site_fract_y
_atom_site_fract_z
_atom_site_occupancy
Tb1 Tb 0.3333 0.6667 0.0645 1
Mg1 Mg 0.0000 0.0000 0.0000 1
Mg2 Mg 0.1710 0.3421 0.7500 1
```

Diffraction record for SmMn2. The X-ray powder pattern is theoretical, not measured: it uses a DFT-relaxed cell (GGA-PBE, the Materials Project) and a wavelength of 1.5418 Å.
Kinematic intensities with the Lorentz-polarization factor, no thermal factor.

Top 10 peaks for 10° ≤ 2θ ≤ 80°, by angle:
2θ/deg	I_rel	index
32.22	362	2 0 0
34.76	588	1 3 0
35.61	1000	1 1 3
36.40	505	0 2 3
38.10	525	2 0 2
39.73	588	2 2 1
40.32	896	1 3 2
59.67	235	3 1 3
63.90	251	0 6 0
65.51	338	2 2 5

```
data_SmMn2
_space_group_name_H-M_alt 'C m c m'
_space_group_IT_number 63
_space_group_name_Hall '-C 2c 2'
_cell_length_a 5.5561
_cell_length_b 8.7430
_cell_length_c 8.9711
_cell_angle_alpha 90.00
_cell_angle_beta 90.00
_cell_angle_gamma 90.00
loop_
_atom_site_label
_atom_site_type_symbol
_atom_site_fract_x
_atom_site_fract_y
_atom_site_fract_z
_atom_site_occupancy
Sm1 Sm 0.0000 0.1654 0.0635 1
Mn1 Mn 0.0000 0.3415 0.7500 1
Mn2 Mn 0.0000 0.5000 0.0000 1
Mn3 Mn 0.2434 0.4080 0.2500 1
```

Diffraction record for Sc2Ni. The X-ray powder pattern is theoretical, not measured: it uses a DFT-relaxed cell (GGA-PBE, the Materials Project) and a wavelength of 1.5418 Å.
Kinematic intensities with the Lorentz-polarization factor, no thermal factor.

Top 10 peaks for 10° ≤ 2θ ≤ 80°, by angle:
2θ/deg	I_rel	index
12.68	146	1 1 1
25.52	73	2 2 2
36.40	252	4 2 2
38.69	1000	3 3 3
42.28	210	4 4 0
44.98	128	4 4 2
65.50	259	6 6 0
67.03	66	5 5 5
71.51	77	8 4 2
78.75	164	9 3 3

Unit cell a=12.0914 b=12.0914 c=12.0914 alpha=90.00 beta=90.00 gamma=90.00
Space group Fd-3m (No. 227, origin choice 2)
Symmetry-distinct sites (fractional):
1 Sc 0.0000 0.0000 0.0000 [16 per cell]
2 Sc 0.0606 0.3750 0.8750 [48 per cell]
3 Ni 0.0380 0.0380 0.2120 [32 per cell]

Diffraction record for BAsO4. The X-ray powder pattern is theoretical, not measured: it uses a DFT-relaxed cell (GGA-PBE, the Materials Project) and a wavelength of 1.5418 Å.
Kinematic intensities with the Lorentz-polarization factor, no thermal factor.

Top 10 peaks for 10° ≤ 2θ ≤ 80°, by angle:
2θ/deg	I_rel	index
23.31	1000	1 0 1
25.91	84	0 0 2
27.51	149	1 1 0
38.14	330	1 1 2
44.16	98	1 0 3
46.19	204	2 1 1
47.67	99	2 0 2
60.58	142	1 2 3
68.16	77	2 0 4
76.11	75	3 2 1

```
data_BAsO4
_space_group_name_H-M_alt 'I -4'
_space_group_IT_number 82
_space_group_name_Hall 'I -4'
_cell_length_a 4.5857
_cell_length_b 4.5857
_cell_length_c 6.8785
_cell_angle_alpha 90.00
_cell_angle_beta 90.00
_cell_angle_gamma 90.00
loop_
_atom_site_label
_atom_site_type_symbol
_atom_site_fract_x
_atom_site_fract_y
_atom_site_fract_z
_atom_site_occupancy
B1 B 0.0000 0.0000 0.0000 1
As1 As 0.0000 0.5000 0.7500 1
O1 O 0.1551 0.2229 0.8833 1
```

Diffraction record for Y2Al9Co3. The X-ray powder pattern is theoretical, not measured: it uses a DFT-relaxed cell (GGA-PBE, the Materials Project) and a wavelength of 1.5418 Å.
Kinematic intensities with the Lorentz-polarization factor, no thermal factor.

Top 10 peaks for 10° ≤ 2θ ≤ 80°, by angle:
2θ/deg	I_rel	index
25.96	365	3 1 1
30.68	286	0 2 2
30.89	551	3 1 2
37.65	419	0 2 3
37.82	855	3 1 3
38.40	212	4 2 1
38.59	502	0 0 4
42.11	1000	3 3 0
42.59	474	6 0 0
58.43	350	3 3 4

```
data_Y2Al9Co3
_space_group_name_H-M_alt 'C m c m'
_space_group_IT_number 63
_space_group_name_Hall '-C 2c 2'
_cell_length_a 12.7372
_cell_length_b 7.4613
_cell_length_c 9.3327
_cell_angle_alpha 90.00
_cell_angle_beta 90.00
_cell_angle_gamma 90.00
loop_
_atom_site_label
_atom_site_type_symbol
_atom_site_fract_x
_atom_site_fract_y
_atom_site_fract_z
_atom_site_occupancy
Y1 Y 0.1607 0.1675 0.2500 1
Al1 Al 0.0000 0.1250 0.7500 1
Al2 Al 0.0000 0.3322 0.0420 1
Al3 Al 0.1073 0.4460 0.7500 1
Al4 Al 0.1684 0.1667 0.5708 1
Co1 Co 0.0000 0.0000 0.0000 1
Co2 Co 0.1708 0.5000 0.0000 1
```